KCdSF: computed X-ray powder pattern (a wavelength of 1.5418 Å), based on a structure optimized by DFT (GGA-PBE).
No peak broadening, texture or thermal motion is included.

Cell and atoms:
Cell lengths 4.209, 4.209, 12.861 Å; angles 90.00, 90.00, 120.00 degrees
Atoms (fractional coordinates):
K  0.333  0.667  0.000
K  0.667  0.333  0.500
Cd  0.000  0.000  0.248
Cd  0.000  0.000  0.748
S  0.333  0.667  0.307
S  0.667  0.333  0.807
F  0.000  0.000  0.074
F  0.000  0.000  0.574

Most intense lines, 10 to 90 degrees two-theta, in order of falling intensity:
2θ (°)	I_rel
28.14	100
24.42	52
13.77	51
42.98	50
49.32	41
27.75	35
51.93	33
37.29	27
32.24	21
52.17	17
83.40	16
45.35	16

---

KScCd2F8: computed X-ray powder pattern (a wavelength of 1.5418 Å), based on a structure optimized by DFT (GGA-PBE).
No peak broadening, texture or thermal motion is included.

Cell and atoms:
Cell lengths 5.100, 7.278, 5.272 Å; angles 90.00, 91.11, 90.00 degrees
Atoms (fractional coordinates):
K  0.000  0.000  0.000
Sc  0.000  0.500  0.000
Cd  0.500  0.252  0.500
Cd  0.500  0.748  0.500
F  0.185  0.302  0.205
F  0.185  0.698  0.205
F  0.295  0.500  0.725
F  0.358  0.000  0.699
F  0.642  0.000  0.301
F  0.705  0.500  0.275
F  0.815  0.302  0.795
F  0.815  0.698  0.795

Most intense lines, 10 to 90 degrees two-theta, in order of falling intensity:
2θ (°)	I_rel
24.52	100
24.05	96
29.84	74
30.17	60
34.57	45
45.83	37
17.39	37
46.37	36
16.82	35
46.53	32
47.07	27
56.58	25

---

KCdSeF: computed X-ray powder pattern (a wavelength of 1.5418 Å), based on a structure optimized by DFT (GGA-PBE).
No peak broadening, texture or thermal motion is included.

Cell and atoms:
Cell lengths 4.362, 4.362, 12.996 Å; angles 90.00, 90.00, 120.00 degrees
Atoms (fractional coordinates):
K  0.333  0.667  0.000
K  0.667  0.333  0.500
Cd  0.000  0.000  0.236
Cd  0.000  0.000  0.736
Se  0.333  0.667  0.301
Se  0.667  0.333  0.801
F  0.000  0.000  0.064
F  0.000  0.000  0.564

Most intense lines, 10 to 90 degrees two-theta, in order of falling intensity:
2θ (°)	I_rel
13.63	100
27.31	89
41.40	83
50.37	62
31.42	56
48.44	53
24.54	48
27.45	44
43.78	35
36.48	34
23.55	33
80.58	22

---

K2TlCdF5: computed X-ray powder pattern (a wavelength of 1.5418 Å), based on a structure optimized by DFT (GGA-PBE).
No peak broadening, texture or thermal motion is included.

Cell and atoms:
Cell lengths 7.477, 7.477, 7.477 Å; angles 145.93, 129.54, 62.30 degrees
Atoms (fractional coordinates):
K  0.214  0.214  0.000
K  0.786  0.786  0.000
Tl  0.500  0.000  0.500
Cd  0.000  0.500  0.500
F  0.000  0.000  0.000
F  0.112  0.370  0.742
F  0.372  0.630  0.742
F  0.628  0.370  0.258
F  0.888  0.630  0.258

Most intense lines, 10 to 90 degrees two-theta, in order of falling intensity:
2θ (°)	I_rel
28.38	100
13.84	63
39.93	31
24.66	24
28.00	22
49.78	21
37.56	21
31.36	20
58.72	19
27.89	18
41.21	16
50.53	16